Entry 1:
Structure and theoretical PXRD pattern of Cu2RuPt (a structure optimized by DFT (GGA-PBE); Cu Kα).
Intensities are scaled so that the largest is 100.

Cell and atoms:
Lattice parameters (Å, degrees): 2.6809 3.8275 5.3137 90.00 90.33 90.00
Positions (direct):
1 Cu 0.0000 0.0000 0.0000
2 Cu 0.4970 0.5000 0.2296
3 Ru 0.4990 0.5000 0.7402
4 Pt 0.9962 0.0000 0.4964

The 10 most intense peaks (2θ = 15–90°), by intensity:
2θ/deg  d [Å]  I_rel
41.11  2.196  100.0
41.37  2.183  97.5
16.68  5.314  37.9
47.51  1.914  32.8
48.08  1.893  31.4
48.37  1.882  30.8
70.16  1.341  29.6
28.75  3.106  23.3
85.16  1.139  23.2
69.90  1.346  19.9


Entry 2:
Structure and theoretical PXRD pattern of CuRuPt2 (a structure optimized by DFT (GGA-PBE); Cu Kα).
Intensities are scaled so that the largest is 100.

Cell and atoms:
Lattice parameters (Å, degrees): 4.7089 4.7089 4.7089 131.39 131.39 71.20
Positions (direct):
1 Cu 0.0000 0.0000 0.0000
2 Ru 0.7500 0.2500 0.5000
3 Pt 0.2500 0.7500 0.5000
4 Pt 0.5000 0.5000 0.0000

The 10 most intense peaks (2θ = 15–90°), by intensity:
2θ/deg  d [Å]  I_rel
40.47  2.229  100.0
46.87  1.938  32.8
82.65  1.167  25.3
25.76  3.459  23.4
68.94  1.362  20.6
47.49  1.914  15.8
83.57  1.157  12.3
87.54  1.114  11.2
68.46  1.371  10.5
54.25  1.691  6.7


Entry 3:
Structure and theoretical PXRD pattern of Cu2RuPt (a structure optimized by DFT (GGA-PBE); Cu Kα).
Intensities are scaled so that the largest is 100.

Cell and atoms:
Lattice parameters (Å, degrees): 8.7813 8.7813 8.7813 17.66 17.66 17.66
Positions (direct):
1 Cu 0.0000 0.0000 0.0000
2 Cu 0.2560 0.2560 0.2560
3 Ru 0.7492 0.7492 0.7492
4 Pt 0.5044 0.5044 0.5044

The 10 most intense peaks (2θ = 15–90°), by intensity:
2θ/deg  d [Å]  I_rel
41.09  2.197  100.0
48.02  1.894  62.5
41.81  2.161  30.6
84.76  1.144  23.0
70.77  1.331  21.2
69.76  1.348  20.2
84.28  1.149  12.0
42.46  2.129  11.0
38.72  2.326  10.9
89.15  1.098  10.6


Entry 4:
Structure and theoretical PXRD pattern of Cu5SbPt6 (a structure optimized by DFT (GGA-PBE); Cu Kα).
Intensities are scaled so that the largest is 100.

Cell and atoms:
Lattice parameters (Å, degrees): 7.3102 7.3102 4.0278 105.95 105.95 111.28
Positions (direct):
1 Cu 0.0000 0.0000 0.0000
2 Cu 0.1676 0.8324 0.5000
3 Cu 0.3238 0.6762 0.0000
4 Cu 0.6762 0.3238 0.0000
5 Cu 0.8324 0.1676 0.5000
6 Sb 0.5000 0.5000 0.5000
7 Pt 0.0816 0.4175 0.2500
8 Pt 0.2424 0.2424 0.7432
9 Pt 0.4175 0.0816 0.2500
10 Pt 0.5825 0.9184 0.7500
11 Pt 0.7576 0.7576 0.2568
12 Pt 0.9184 0.5825 0.7500

The 10 most intense peaks (2θ = 15–90°), by intensity:
2θ/deg  d [Å]  I_rel
40.38  2.234  100.0
45.04  2.013  36.6
31.43  2.846  17.4
24.71  3.603  15.6
70.09  1.343  14.4
79.89  1.201  14.2
79.96  1.200  13.2
50.67  1.802  12.9
65.60  1.423  11.7
87.31  1.117  10.9


Entry 5:
Structure and theoretical PXRD pattern of Cu4Sb2Pt (a structure optimized by DFT (GGA-PBE); Cu Kα).
Intensities are scaled so that the largest is 100.

Cell and atoms:
Lattice parameters (Å, degrees): 7.3842 7.3842 7.3842 142.83 142.83 53.58
Positions (direct):
1 Cu 0.0000 0.5000 0.5000
2 Cu 0.1871 0.1871 0.0000
3 Cu 0.5000 0.0000 0.5000
4 Cu 0.8129 0.8129 0.0000
5 Sb 0.3769 0.3769 0.0000
6 Sb 0.6231 0.6231 0.0000
7 Pt 0.0000 0.0000 0.0000

The 10 most intense peaks (2θ = 15–90°), by intensity:
2θ/deg  d [Å]  I_rel
38.24  2.353  100.0
26.79  3.328  95.2
39.16  2.300  92.6
55.89  1.645  64.5
27.77  3.212  47.4
55.19  1.664  33.5
69.71  1.349  29.0
82.42  1.170  28.8
47.92  1.898  22.1
57.37  1.606  20.0


Entry 6:
Structure and theoretical PXRD pattern of Cu5SbPt8 (a structure optimized by DFT (GGA-PBE); Cu Kα).
Intensities are scaled so that the largest is 100.

Cell and atoms:
Lattice parameters (Å, degrees): 6.5731 6.5731 6.5731 110.48 110.48 107.48
Positions (direct):
1 Cu 0.0000 0.0000 0.0000
2 Cu 0.2116 0.2970 0.6745
3 Cu 0.4629 0.7884 0.0854
4 Cu 0.6225 0.5371 0.3255
5 Cu 0.7030 0.3775 0.9146
6 Sb 0.2500 0.7500 0.5000
7 Pt 0.1521 0.4273 0.0703
8 Pt 0.3570 0.0818 0.9297
9 Pt 0.4258 0.1602 0.3991
10 Pt 0.5727 0.6430 0.7248
11 Pt 0.7612 0.0267 0.6009
12 Pt 0.8398 0.2388 0.2655
13 Pt 0.9182 0.8479 0.2752
14 Pt 0.9733 0.5742 0.7345

The 10 most intense peaks (2θ = 15–90°), by intensity:
2θ/deg  d [Å]  I_rel
44.17  2.050  100.0
29.01  3.078  85.1
44.78  2.024  85.0
36.69  2.450  82.2
37.96  2.370  77.7
45.15  2.008  74.9
37.82  2.379  74.4
63.18  1.472  29.2
77.91  1.226  27.6
60.12  1.539  27.2


Entry 7:
Structure and theoretical PXRD pattern of CuSb3Pt12 (a structure optimized by DFT (GGA-PBE); Cu Kα).
Intensities are scaled so that the largest is 100.

Cell and atoms:
Lattice parameters (Å, degrees): 4.0410 4.0410 16.2423 90.00 90.00 90.00
Positions (direct):
1 Cu 0.0000 0.0000 0.0000
2 Sb 0.0000 0.0000 0.2312
3 Sb 0.0000 0.0000 0.5000
4 Sb 0.0000 0.0000 0.7688
5 Pt 0.0000 0.5000 0.1163
6 Pt 0.0000 0.5000 0.3747
7 Pt 0.0000 0.5000 0.6253
8 Pt 0.0000 0.5000 0.8837
9 Pt 0.5000 0.0000 0.1163
10 Pt 0.5000 0.0000 0.3747
11 Pt 0.5000 0.0000 0.6253
12 Pt 0.5000 0.0000 0.8837
13 Pt 0.5000 0.5000 0.0000
14 Pt 0.5000 0.5000 0.2521
15 Pt 0.5000 0.5000 0.5000
16 Pt 0.5000 0.5000 0.7479

The 10 most intense peaks (2θ = 15–90°), by intensity:
2θ/deg  d [Å]  I_rel
38.53  2.337  100.0
44.86  2.021  33.8
78.46  1.219  25.7
65.13  1.432  19.6
44.63  2.030  15.0
65.31  1.429  11.1
82.57  1.168  10.3
78.13  1.223  10.1
31.25  2.862  4.4
22.00  4.041  3.1


Entry 8:
Structure and theoretical PXRD pattern of CuSbPt6 (a structure optimized by DFT (GGA-PBE); Cu Kα).
Intensities are scaled so that the largest is 100.

Cell and atoms:
Lattice parameters (Å, degrees): 3.9866 3.9866 8.0259 90.00 90.00 90.00
Positions (direct):
1 Cu 0.0000 0.0000 0.0000
2 Sb 0.0000 0.0000 0.5000
3 Pt 0.0000 0.5000 0.2375
4 Pt 0.0000 0.5000 0.7625
5 Pt 0.5000 0.0000 0.2375
6 Pt 0.5000 0.0000 0.7625
7 Pt 0.5000 0.5000 0.0000
8 Pt 0.5000 0.5000 0.5000

The 10 most intense peaks (2θ = 15–90°), by intensity:
2θ/deg  d [Å]  I_rel
39.05  2.307  100.0
45.51  1.993  33.0
79.73  1.203  25.6
66.07  1.414  20.6
45.19  2.006  15.9
79.27  1.208  11.5
83.89  1.153  10.9
66.32  1.409  10.8
22.30  3.987  4.3
31.64  2.828  3.6


Entry 9:
Structure and theoretical PXRD pattern of SmScCuPt (a structure optimized by DFT (GGA-PBE); Cu Kα).
Intensities are scaled so that the largest is 100.

Cell and atoms:
Lattice parameters (Å, degrees): 4.3450 5.5840 5.5840 38.22 90.00 90.00
Positions (direct):
1 Sm 0.0000 0.0000 0.0000
2 Sc 0.5000 0.7205 0.7205
3 Cu 0.5000 0.4310 0.4310
4 Pt 0.0000 0.2753 0.2753

The 10 most intense peaks (2θ = 15–90°), by intensity:
2θ/deg  d [Å]  I_rel
33.13  2.704  100.0
41.23  2.190  91.2
20.44  4.345  53.3
39.98  2.255  47.9
25.79  3.455  39.0
41.57  2.172  35.5
35.41  2.535  33.8
33.98  2.638  31.8
49.88  1.828  26.4
65.76  1.420  22.1


Entry 10:
Structure and theoretical PXRD pattern of Cu2PtSe (a structure optimized by DFT (GGA-PBE); Cu Kα).
Intensities are scaled so that the largest is 100.

Cell and atoms:
Lattice parameters (Å, degrees): 2.9090 3.6732 5.5152 90.00 90.00 90.00
Positions (direct):
1 Cu 0.0000 0.0000 0.0000
2 Cu 0.5000 0.5000 0.2275
3 Pt 0.0000 0.0000 0.4738
4 Se 0.5000 0.5000 0.7549

The 10 most intense peaks (2θ = 15–90°), by intensity:
2θ/deg  d [Å]  I_rel
39.52  2.280  100.0
40.92  2.205  88.0
45.31  2.001  65.4
69.46  1.353  37.1
16.07  5.515  31.7
49.63  1.837  30.4
29.21  3.057  25.2
78.83  1.214  24.8
81.59  1.180  20.8
34.87  2.573  16.0


Entry 11:
Structure and theoretical PXRD pattern of TlCuPtSe2 (a structure optimized by DFT (GGA-PBE); Cu Kα).
Intensities are scaled so that the largest is 100.

Cell and atoms:
Lattice parameters (Å, degrees): 3.7868 4.0922 7.2354 90.00 90.00 90.00
Positions (direct):
1 Tl 0.0000 0.0000 0.0000
2 Cu 0.5000 0.0000 0.5000
3 Pt 0.0000 0.5000 0.5000
4 Se 0.5000 0.5000 0.2704
5 Se 0.5000 0.5000 0.7296

The 10 most intense peaks (2θ = 15–90°), by intensity:
2θ/deg  d [Å]  I_rel
34.57  2.595  100.0
25.00  3.562  68.6
34.28  2.616  59.7
50.08  1.822  49.2
24.61  3.618  28.3
57.16  1.612  28.2
44.27  2.046  24.9
48.05  1.893  19.6
54.92  1.672  16.7
50.45  1.809  15.9


Entry 12:
Structure and theoretical PXRD pattern of CuSi4Pt2 (a structure optimized by DFT (GGA-PBE); Cu Kα).
Intensities are scaled so that the largest is 100.

Cell and atoms:
Lattice parameters (Å, degrees): 6.2634 6.2634 7.0061 106.58 106.58 108.87
Positions (direct):
1 Cu 0.1208 0.8792 0.5000
2 Cu 0.8792 0.1208 0.0000
3 Si 0.3264 0.3443 0.2376
4 Si 0.3443 0.3264 0.7376
5 Si 0.4451 0.9049 0.3938
6 Si 0.4523 0.8990 0.9545
7 Si 0.7584 0.8308 0.1988
8 Si 0.8308 0.7584 0.6988
9 Si 0.8990 0.4523 0.4545
10 Si 0.9049 0.4451 0.8938
11 Pt 0.1324 0.8828 0.0880
12 Pt 0.3750 0.6283 0.5831
13 Pt 0.6283 0.3750 0.0831
14 Pt 0.8828 0.1324 0.5880

The 10 most intense peaks (2θ = 15–90°), by intensity:
2θ/deg  d [Å]  I_rel
22.73  3.912  100.0
30.17  2.962  61.2
28.11  3.174  45.2
45.66  1.987  43.6
29.26  3.053  43.3
28.98  3.082  37.8
46.24  1.963  36.6
46.42  1.956  32.8
43.13  2.097  31.4
56.20  1.637  25.0